# 1
Diffraction record for LiCuPO4. The powder X-ray diffraction pattern is simulated, not measured: it uses the GGA-PBE geometry in the Materials Project and λ = 1.5418 Å (Cu Kα).
Kinematic intensities with the Lorentz-polarization factor, no thermal factor.

The 10 most intense peaks (2θ = 10–90°), sorted by position:
d 4.314, I = 38; d 4.060, I = 100; d 3.984, I = 26; d 3.451, I = 81; d 3.232, I = 21; d 2.816, I = 78; d 2.608, I = 73; d 2.299, I = 30; d 1.844, I = 37; d 1.408, I = 47

```
data_LiCuPO4
_cell_length_a 13.8021
_cell_length_b 13.8021
_cell_length_c 9.2515
_cell_angle_alpha 90.00
_cell_angle_beta 90.00
_cell_angle_gamma 120.00
_space_group_name_H-M_alt 'R 3'
_space_group_IT_number 146
_space_group_name_Hall 'R 3'
loop_
_atom_site_label
_atom_site_type_symbol
_atom_site_fract_x
_atom_site_fract_y
_atom_site_fract_z
Li1 Li 0.0102 0.7988 0.0000
Li2 Li 0.1438 0.4592 0.1731
Cu1 Cu 0.0207 0.8123 0.3339
Cu2 Cu 0.1300 0.4514 0.5018
P1 P 0.0118 0.8047 0.6735
P2 P 0.1395 0.4634 0.8388
O1 O 0.0233 0.3553 0.8619
O2 O 0.0246 0.6743 0.3383
O3 O 0.0750 0.8672 0.5347
O4 O 0.0800 0.8641 0.8107
O5 O 0.1056 0.8863 0.1575
O6 O 0.1851 0.0638 0.3094
O7 O 0.1982 0.4561 0.7003
O8 O 0.2002 0.0971 0.6791
```

=====

# 2
Diffraction record for LiYP4O12. The powder X-ray diffraction pattern is simulated, not measured: it uses the GGA-PBE geometry in the Materials Project and λ = 1.5418 Å (Cu Kα).
Kinematic intensities with the Lorentz-polarization factor, no thermal factor.

The 10 most intense peaks (2θ = 10–90°), sorted by position:
d 6.648, I = 31; d 5.744, I = 27; d 4.346, I = 100; d 3.916, I = 86; d 3.838, I = 36; d 3.245, I = 62; d 2.942, I = 25; d 2.875, I = 33; d 2.741, I = 71; d 2.637, I = 19

```
data_LiYP4O12
_cell_length_a 16.4483
_cell_length_b 7.1321
_cell_length_c 9.6906
_cell_angle_alpha 90.00
_cell_angle_beta 126.06
_cell_angle_gamma 90.00
_space_group_name_H-M_alt 'C 1 2/c 1'
_space_group_IT_number 15
loop_
_space_group_symop_operation_xyz
'x,y,z'
'-x,-y,-z'
'-x,y,-z+1/2'
'x,-y,z+1/2'
'x+1/2,y+1/2,z'
'-x+1/2,-y+1/2,-z'
'-x+1/2,y+1/2,-z+1/2'
'x+1/2,-y+1/2,z+1/2'
loop_
_atom_site_label
_atom_site_type_symbol
_atom_site_fract_x
_atom_site_fract_y
_atom_site_fract_z
Li1 Li 0.0000 0.2058 0.2500
Y1 Y 0.0000 0.2969 0.7500
P1 P 0.1373 0.0513 0.6159
P2 P 0.1460 0.3493 0.1945
O1 O 0.0661 0.0033 0.4286
O2 O 0.0716 0.4158 0.2260
O3 O 0.1122 0.2129 0.6838
O4 O 0.1265 0.3831 0.0247
O5 O 0.1566 0.1263 0.2336
O6 O 0.2451 0.0792 0.6504
```

=====

# 3
Diffraction record for Ba2HoTaO6. The powder X-ray diffraction pattern is simulated, not measured: it uses the GGA-PBE geometry in the Materials Project and λ = 1.5418 Å (Cu Kα).
Kinematic intensities with the Lorentz-polarization factor, no thermal factor.

The 10 most intense peaks (2θ = 10–90°), sorted by position:
d 3.010, I = 100; d 2.133, I = 9; d 2.126, I = 18; d 1.738, I = 41; d 1.506, I = 12; d 1.348, I = 6; d 1.345, I = 12; d 1.229, I = 6; d 1.139, I = 7; d 1.137, I = 15

```
data_Ba2HoTaO6
_cell_length_a 6.0142
_cell_length_b 6.0142
_cell_length_c 8.5312
_cell_angle_alpha 90.00
_cell_angle_beta 90.00
_cell_angle_gamma 90.00
_space_group_name_H-M_alt 'I 4/m'
_space_group_IT_number 87
_space_group_name_Hall '-I 4'
loop_
_atom_site_label
_atom_site_type_symbol
_atom_site_fract_x
_atom_site_fract_y
_atom_site_fract_z
Ba1 Ba 0.0000 0.5000 0.2500
Ho1 Ho 0.0000 0.0000 0.0000
Ta1 Ta 0.0000 0.0000 0.5000
O1 O 0.0000 0.0000 0.2636
O2 O 0.2163 0.2561 0.5000
```

=====

# 4
Diffraction record for Na3CuO2. The powder X-ray diffraction pattern is simulated, not measured: it uses the GGA-PBE geometry in the Materials Project and λ = 1.5418 Å (Cu Kα).
Kinematic intensities with the Lorentz-polarization factor, no thermal factor.

The 10 most intense peaks (2θ = 10–90°), sorted by position:
d 5.286, I = 40; d 4.767, I = 72; d 3.186, I = 28; d 2.671, I = 43; d 2.643, I = 39; d 2.614, I = 59; d 2.544, I = 100; d 2.103, I = 78; d 1.879, I = 70; d 1.868, I = 41

```
data_Na3CuO2
_cell_length_a 5.3413
_cell_length_b 10.5714
_cell_length_c 6.0147
_cell_angle_alpha 90.00
_cell_angle_beta 90.00
_cell_angle_gamma 90.00
_space_group_name_H-M_alt 'I b a m'
_space_group_IT_number 72
_space_group_name_Hall '-I 2 2c'
loop_
_atom_site_label
_atom_site_type_symbol
_atom_site_fract_x
_atom_site_fract_y
_atom_site_fract_z
Na1 Na 0.0000 0.0000 0.2500
Na2 Na 0.0000 0.2629 0.2500
Cu1 Cu 0.0000 0.5000 0.0000
O1 O 0.2495 0.1243 0.0000
```

=====

# 5
Diffraction record for Cs2BiAuF6. The powder X-ray diffraction pattern is simulated, not measured: it uses the GGA-PBE geometry in the Materials Project and λ = 1.5418 Å (Cu Kα).
Kinematic intensities with the Lorentz-polarization factor, no thermal factor.

The 10 most intense peaks (2θ = 10–90°), sorted by position:
d 4.797, I = 10; d 3.392, I = 100; d 2.398, I = 31; d 2.145, I = 5; d 1.958, I = 44; d 1.696, I = 21; d 1.517, I = 20; d 1.385, I = 7; d 1.282, I = 23; d 1.131, I = 12

```
data_Cs2BiAuF6
_cell_length_a 9.5936
_cell_length_b 9.5936
_cell_length_c 9.5936
_cell_angle_alpha 90.00
_cell_angle_beta 90.00
_cell_angle_gamma 90.00
_space_group_name_H-M_alt 'F m -3 m'
_space_group_IT_number 225
_space_group_name_Hall '-F 4 2 3'
loop_
_atom_site_label
_atom_site_type_symbol
_atom_site_fract_x
_atom_site_fract_y
_atom_site_fract_z
Cs1 Cs 0.2500 0.2500 0.2500
Bi1 Bi 0.0000 0.0000 0.0000
Au1 Au 0.0000 0.0000 0.5000
F1 F 0.0000 0.0000 0.2374
```

=====

# 6
Diffraction record for Al2O3. The powder X-ray diffraction pattern is simulated, not measured: it uses the GGA-PBE geometry in the Materials Project and λ = 1.5418 Å (Cu Kα).
Kinematic intensities with the Lorentz-polarization factor, no thermal factor.

The 10 most intense peaks (2θ = 10–90°), sorted by position:
d 2.893, I = 49; d 2.862, I = 71; d 2.753, I = 100; d 2.471, I = 97; d 2.338, I = 61; d 2.276, I = 54; d 2.041, I = 55; d 1.471, I = 43; d 1.404, I = 62; d 1.399, I = 63

```
data_Al2O3
_cell_length_a 11.9257
_cell_length_b 2.9410
_cell_length_c 5.6705
_cell_angle_alpha 90.00
_cell_angle_beta 104.03
_cell_angle_gamma 90.00
_space_group_name_H-M_alt 'C 1 2/m 1'
_space_group_IT_number 12
loop_
_space_group_symop_operation_xyz
'x,y,z'
'-x,-y,-z'
'-x,y,-z'
'x,-y,z'
'x+1/2,y+1/2,z'
'-x+1/2,-y+1/2,-z'
'-x+1/2,y+1/2,-z'
'x+1/2,-y+1/2,z'
loop_
_atom_site_label
_atom_site_type_symbol
_atom_site_fract_x
_atom_site_fract_y
_atom_site_fract_z
Al1 Al 0.0901 0.0000 0.2956
Al2 Al 0.1578 0.5000 0.8168
O1 O 0.0050 0.5000 0.2426
O2 O 0.1602 0.0000 0.6090
O3 O 0.1736 0.0000 0.0674
```

=====

# 7
Diffraction record for TlN. The powder X-ray diffraction pattern is simulated, not measured: it uses the GGA-PBE geometry in the Materials Project and λ = 1.5418 Å (Cu Kα).
Kinematic intensities with the Lorentz-polarization factor, no thermal factor.

The 8 most intense peaks (2θ = 10–90°), sorted by position:
d 2.856, I = 100; d 2.474, I = 67; d 1.749, I = 47; d 1.492, I = 46; d 1.428, I = 16; d 1.237, I = 7; d 1.135, I = 20; d 1.106, I = 22

```
data_TlN
_cell_length_a 4.9471
_cell_length_b 4.9471
_cell_length_c 4.9471
_cell_angle_alpha 90.00
_cell_angle_beta 90.00
_cell_angle_gamma 90.00
_space_group_name_H-M_alt 'F m -3 m'
_space_group_IT_number 225
_space_group_name_Hall '-F 4 2 3'
loop_
_atom_site_label
_atom_site_type_symbol
_atom_site_fract_x
_atom_site_fract_y
_atom_site_fract_z
Tl1 Tl 0.0000 0.0000 0.0000
N1 N 0.0000 0.0000 0.5000
```

=====

# 8
Diffraction record for NiAg2Sn3S8. The powder X-ray diffraction pattern is simulated, not measured: it uses the GGA-PBE geometry in the Materials Project and λ = 1.5418 Å (Cu Kα).
Kinematic intensities with the Lorentz-polarization factor, no thermal factor.

The 10 most intense peaks (2θ = 10–90°), sorted by position:
d 3.604, I = 69; d 3.440, I = 100; d 3.421, I = 44; d 3.336, I = 73; d 3.183, I = 48; d 3.031, I = 37; d 2.465, I = 28; d 2.174, I = 53; d 1.955, I = 30; d 1.937, I = 29

```
data_NiAg2Sn3S8
_cell_length_a 7.1198
_cell_length_b 7.7461
_cell_length_c 7.9569
_cell_angle_alpha 94.21
_cell_angle_beta 109.88
_cell_angle_gamma 116.60
_space_group_name_H-M_alt 'P -1'
_space_group_IT_number 2
loop_
_space_group_symop_operation_xyz
'x,y,z'
'-x,-y,-z'
loop_
_atom_site_label
_atom_site_type_symbol
_atom_site_fract_x
_atom_site_fract_y
_atom_site_fract_z
Ni1 Ni 0.0000 0.0000 0.0000
Ag1 Ag 0.0000 0.0000 0.5000
Ag2 Ag 0.5000 0.5000 0.0000
Sn1 Sn 0.2438 0.5496 0.4157
Sn2 Sn 0.5000 0.0000 0.0000
S1 S 0.1364 0.3198 0.0558
S2 S 0.1923 0.8690 0.1532
S3 S 0.2319 0.8148 0.6798
S4 S 0.3557 0.3479 0.6326
```